Entry 1:
This entry pairs a crystal structure of TaHgS2 with its theoretical PXRD pattern. Radiation: Cu Kα X-rays. Structure: a PBE-relaxed structure.
Intensities are scaled so that the largest is 100.

The 8 most intense peaks (10° ≤ 2θ ≤ 90°), low angle first:
2θ = 18.64°, I 100, hkl 0 0 2
2θ = 26.92°, I 14, hkl 1 0 0
2θ = 30.90°, I 20, hkl 0 2 1
2θ = 32.37°, I 50, hkl 0 2 2
2θ = 37.79°, I 17, hkl 0 0 4
2θ = 41.65°, I 14, hkl 1 1 -2
2θ = 42.21°, I 23, hkl 0 2 -2
2θ = 42.38°, I 18, hkl 0 2 4

Structure:
a b c (Å): 3.3479 5.7810 10.0393
angles (deg): 73.51 81.89 90.00
Space group P1 (No. 1)
One atom of each set of equivalent atoms:
Ta 0.0000 0.0000 0.0000 [1 per cell]
Ta 0.5000 0.4942 0.0000 [1 per cell]
Hg 0.0004 0.9498 0.5013 [1 per cell]
Hg 0.9829 0.4510 0.4990 [1 per cell]
S 0.0692 0.7444 0.8373 [1 per cell]
S 0.4309 0.0819 0.1646 [1 per cell]
S 0.5690 0.2441 0.8354 [1 per cell]
S 0.9307 0.5842 0.1626 [1 per cell]

---

Entry 2:
This entry pairs a crystal structure of Tb7HgS5 with its theoretical PXRD pattern. Radiation: Cu Kα X-rays. Structure: a PBE-relaxed structure.
Intensities are scaled so that the largest is 100.

The 8 most intense peaks (10° ≤ 2θ ≤ 90°), low angle first:
2θ = 27.99°, I 40, hkl 1 1 -4
2θ = 29.79°, I 100, hkl 2 0 7
2θ = 30.24°, I 47, hkl 1 1 -5
2θ = 31.54°, I 94, hkl 3 1 2
2θ = 32.69°, I 66, hkl 3 1 -3
2θ = 41.85°, I 21, hkl 1 1 -9
2θ = 45.92°, I 53, hkl 0 2 0
2θ = 55.68°, I 35, hkl 2 2 7

Structure:
a b c (Å): 13.0039 3.9547 23.6579
angles (deg): 90.00 90.03 90.00
Space group C2/m (No. 12)
One atom of each set of equivalent atoms:
Tb 0.0236 0.0000 0.2500 [4 per cell]
Tb 0.0909 0.5000 0.1076 [4 per cell]
Tb 0.0906 0.5000 0.3924 [4 per cell]
Tb 0.1358 0.0000 0.5360 [4 per cell]
Tb 0.1358 0.0000 0.9640 [4 per cell]
Tb 0.1775 0.5000 0.8273 [4 per cell]
Tb 0.1778 0.5000 0.6728 [4 per cell]
Hg 0.2044 0.5000 0.2498 [4 per cell]
S 0.0000 0.5000 0.0000 [2 per cell]
S 0.0000 0.5000 0.5000 [2 per cell]
S 0.0442 0.0000 0.6400 [4 per cell]
S 0.0439 0.0000 0.8600 [4 per cell]
S 0.2270 0.0000 0.0698 [4 per cell]
S 0.2269 0.0000 0.4302 [4 per cell]

---

Entry 3:
This entry pairs a crystal structure of TcHg2S with its theoretical PXRD pattern. Radiation: Cu Kα X-rays. Structure: a PBE-relaxed structure.
Intensities are scaled so that the largest is 100.

The 8 most intense peaks (10° ≤ 2θ ≤ 90°), low angle first:
2θ = 22.21°, I 69, hkl 1 0 1
2θ = 28.90°, I 100, hkl 2 1 1
2θ = 29.05°, I 81, hkl 3 1 0
2θ = 39.21°, I 71, hkl 3 2 1
2θ = 41.54°, I 43, hkl 4 2 0
2θ = 43.25°, I 34, hkl 1 1 2
2θ = 55.00°, I 26, hkl 5 2 1
2θ = 56.48°, I 26, hkl 4 0 2

Structure:
a b c (Å): 9.7212 9.7212 4.3917
angles (deg): 90.00 90.00 90.00
Space group I-42d (No. 122)
One atom of each set of equivalent atoms:
Tc 0.0000 0.0000 0.0000 [4 per cell]
Hg 0.1255 0.2500 0.1250 [8 per cell]
S 0.0000 0.0000 0.5000 [4 per cell]